CsNp3I8: simulated PXRD pattern (λ = 1.5418 Å (Cu Kα)), based on a PBE-relaxed structure.

Structure:
```
data_CsNp3I8
_space_group_name_H-M_alt 'R -3 m'
_space_group_IT_number 166
_space_group_name_Hall '-R 3 2"'
_cell_length_a 8.8365
_cell_length_b 8.8365
_cell_length_c 28.4519
_cell_angle_alpha 90.00
_cell_angle_beta 90.00
_cell_angle_gamma 120.00
loop_
_atom_site_label
_atom_site_type_symbol
_atom_site_fract_x
_atom_site_fract_y
_atom_site_fract_z
Cs1 Cs 0.0000 0.0000 0.0000
Np1 Np 0.0000 0.5000 0.5000
I1 I 0.0000 0.0000 0.2336
I2 I 0.0020 0.5010 0.2312
```

Top 12 peaks for 2θ = 10–80°, in order of rising 2θ:
12.0°, rel. 25; 22.2°, rel. 14; 26.5°, rel. 100; 32.1°, rel. 34; 34.4°, rel. 35; 40.8°, rel. 35; 42.0°, rel. 16; 42.2°, rel. 22; 49.3°, rel. 18; 54.5°, rel. 9; 64.8°, rel. 14; 65.9°, rel. 15